No. 1
NaZrTeAuS2: computed PXRD pattern (a wavelength of 1.5418 Å), based on a DFT-relaxed cell (PBE, OQMD).
Lines closer than 0.1° are merged.

Structural model:
a = 7.441 Å, b = 7.441 Å, c = 10.590 Å
α = 90.00°, β = 90.00°, γ = 150.34°
Fractional positions:
Na1 0.207 0.793 0.750
Na2 0.793 0.207 0.250
Zr1 0.000 0.000 0.000
Zr2 0.000 0.000 0.500
Te1 0.109 0.891 0.250
Te2 0.891 0.109 0.750
Au1 0.467 0.533 0.250
Au2 0.533 0.467 0.750
S1 0.381 0.619 0.051
S2 0.381 0.619 0.449
S3 0.619 0.381 0.551
S4 0.619 0.381 0.949

Principal peaks in the range 10° ≤ 2θ ≤ 90°, low angle first:
Position (°2θ)  I (rel.)
12.31  100
16.74  23
29.55  14
31.16  38
33.86  24
34.52  57
36.15  15
38.50  14
42.94  26
45.76  17

***

No. 2
Cu9Ge: computed PXRD pattern (a wavelength of 1.5418 Å), based on a DFT-relaxed cell (PBE, OQMD).
Lines closer than 0.1° are merged.

Structural model:
a = 2.554 Å, b = 3.562 Å, c = 33.995 Å
α = 90.00°, β = 90.00°, γ = 90.00°
Fractional positions:
Cu1 0.250 0.250 0.019
Cu2 0.250 0.250 0.096
Cu3 0.250 0.250 0.173
Cu4 0.250 0.250 0.250
Cu5 0.250 0.250 0.327
Cu6 0.250 0.250 0.711
Cu7 0.250 0.250 0.788
Cu8 0.250 0.250 0.865
Cu9 0.250 0.250 0.942
Cu10 0.750 0.750 0.058
Cu11 0.750 0.750 0.135
Cu12 0.750 0.750 0.212
Cu13 0.750 0.750 0.289
Cu14 0.750 0.750 0.673
Cu15 0.750 0.750 0.750
Cu16 0.750 0.750 0.827
Cu17 0.750 0.750 0.904
Cu18 0.750 0.750 0.981
Ge1 0.250 0.250 0.631
Ge2 0.750 0.750 0.369

Principal peaks in the range 10° ≤ 2θ ≤ 90°, low angle first:
Position (°2θ)  I (rel.)
40.69  10
42.90  91
43.61  100
49.91  58
51.31  30
72.26  8
74.26  9
74.38  32
88.34  21
89.78  19

***

No. 3
HfZr2Al3NiAu2: computed PXRD pattern (a wavelength of 1.5418 Å), based on a DFT-relaxed cell (PBE, OQMD).
Lines closer than 0.1° are merged.

Structural model:
a = 4.054 Å, b = 6.745 Å, c = 6.745 Å
α = 119.40°, β = 90.00°, γ = 90.00°
Fractional positions:
Hf1 0.000 0.000 0.000
Zr1 0.000 0.200 0.601
Zr2 0.000 0.601 0.200
Al1 0.500 0.367 0.367
Al2 0.500 0.600 0.838
Al3 0.500 0.838 0.600
Ni1 0.000 0.607 0.607
Au1 0.500 0.264 0.936
Au2 0.500 0.936 0.264

Principal peaks in the range 10° ≤ 2θ ≤ 90°, low angle first:
Position (°2θ)  I (rel.)
15.08  57
26.43  30
26.77  26
34.41  40
34.60  100
37.82  49
38.05  34
44.71  30
46.35  28
46.79  32

***

No. 4
GdDyIn2Pt4: computed PXRD pattern (a wavelength of 1.5418 Å), based on a DFT-relaxed cell (PBE, OQMD).
Lines closer than 0.1° are merged.

Structural model:
a = 4.592 Å, b = 4.592 Å, c = 9.035 Å
α = 90.00°, β = 90.00°, γ = 120.00°
Fractional positions:
Gd1 0.000 0.000 0.000
Dy1 0.667 0.333 0.500
In1 0.333 0.667 0.251
In2 0.333 0.667 0.749
Pt1 0.000 0.000 0.343
Pt2 0.000 0.000 0.657
Pt3 0.667 0.333 0.160
Pt4 0.667 0.333 0.840

Principal peaks in the range 10° ≤ 2θ ≤ 90°, low angle first:
Position (°2θ)  I (rel.)
22.36  20
29.94  12
37.46  100
39.24  88
55.37  33
66.38  12
69.95  33
71.13  15
75.50  10
84.38  10

***

No. 5
HgGeTeO: computed PXRD pattern (a wavelength of 1.5418 Å), based on a DFT-relaxed cell (PBE, OQMD).
Lines closer than 0.1° are merged.

Structural model:
a = 7.860 Å, b = 8.203 Å, c = 5.910 Å
α = 90.00°, β = 90.00°, γ = 90.00°
Fractional positions:
Hg1 0.182 0.076 0.250
Hg2 0.182 0.424 0.750
Hg3 0.818 0.576 0.250
Hg4 0.818 0.924 0.750
Ge1 0.479 0.631 0.250
Ge2 0.479 0.869 0.750
Ge3 0.521 0.131 0.250
Ge4 0.521 0.369 0.750
Te1 0.169 0.039 0.750
Te2 0.169 0.461 0.250
Te3 0.831 0.539 0.750
Te4 0.831 0.961 0.250
O1 0.427 0.750 0.000
O2 0.427 0.750 0.500
O3 0.573 0.250 0.000
O4 0.573 0.250 0.500

Principal peaks in the range 10° ≤ 2θ ≤ 90°, low angle first:
Position (°2θ)  I (rel.)
15.61  58
21.67  76
26.45  62
30.25  100
34.22  99
34.73  62
37.51  43
46.31  62
46.71  49
51.10  38

***

No. 6
Cs2ZnSn3S8: computed PXRD pattern (a wavelength of 1.5418 Å), based on a DFT-relaxed cell (PBE, OQMD).
Lines closer than 0.1° are merged.

Structural model:
a = 7.647 Å, b = 17.943 Å, c = 14.484 Å
α = 90.00°, β = 117.05°, γ = 90.00°
Fractional positions:
Cs1 0.138 0.060 0.397
Cs2 0.138 0.440 0.897
Cs3 0.172 0.659 0.442
Cs4 0.172 0.841 0.942
Cs5 0.828 0.159 0.058
Cs6 0.828 0.341 0.558
Cs7 0.862 0.560 0.103
Cs8 0.862 0.940 0.603
Zn1 0.223 0.648 0.753
Zn2 0.223 0.852 0.253
Zn3 0.777 0.148 0.747
Zn4 0.777 0.352 0.247
Sn1 0.257 0.148 0.741
Sn2 0.257 0.352 0.241
Sn3 0.418 0.018 0.187
Sn4 0.418 0.482 0.687
Sn5 0.436 0.686 0.207
Sn6 0.436 0.814 0.707
Sn7 0.564 0.186 0.293
Sn8 0.564 0.314 0.793
Sn9 0.582 0.518 0.313
Sn10 0.582 0.982 0.813
Sn11 0.743 0.648 0.759
Sn12 0.743 0.852 0.259
S1 0.087 0.643 0.871
S2 0.087 0.857 0.371
S3 0.113 0.541 0.645
S4 0.113 0.959 0.145
S5 0.123 0.740 0.156
S6 0.123 0.760 0.656
S7 0.356 0.244 0.359
S8 0.356 0.256 0.859
S9 0.363 0.045 0.868
S10 0.363 0.455 0.368
S11 0.374 0.144 0.113
S12 0.374 0.356 0.613
S13 0.393 0.559 0.132
S14 0.393 0.941 0.632
S15 0.433 0.151 0.640
S16 0.433 0.349 0.140
S17 0.567 0.651 0.860
S18 0.567 0.849 0.360
S19 0.607 0.059 0.368
S20 0.607 0.441 0.868
S21 0.626 0.644 0.387
S22 0.626 0.856 0.887
S23 0.637 0.545 0.632
S24 0.637 0.955 0.132
S25 0.644 0.744 0.141
S26 0.644 0.756 0.641
S27 0.877 0.240 0.344
S28 0.877 0.260 0.844
S29 0.887 0.041 0.855
S30 0.887 0.459 0.355
S31 0.913 0.143 0.629
S32 0.913 0.357 0.129

Principal peaks in the range 10° ≤ 2θ ≤ 90°, low angle first:
Position (°2θ)  I (rel.)
13.73  98
21.21  40
22.85  100
22.94  66
24.59  40
25.51  60
25.81  94
26.84  71
28.46  72
47.73  42

***

No. 7
Lu2ZrTl: computed PXRD pattern (a wavelength of 1.5418 Å), based on a DFT-relaxed cell (PBE, OQMD).
Lines closer than 0.1° are merged.

Structural model:
a = 5.195 Å, b = 5.195 Å, c = 5.195 Å
α = 60.00°, β = 60.00°, γ = 60.00°
Fractional positions:
Lu1 0.000 0.000 0.000
Lu2 0.250 0.250 0.250
Zr1 0.750 0.750 0.750
Tl1 0.500 0.500 0.500

Principal peaks in the range 10° ≤ 2θ ≤ 90°, low angle first:
Position (°2θ)  I (rel.)
20.94  4
24.23  3
34.53  100
40.73  2
42.63  1
49.64  18
55.98  1
61.87  37
72.83  12
83.16  16

***

No. 8
Nd2IrPbO6: computed PXRD pattern (a wavelength of 1.5418 Å), based on a DFT-relaxed cell (PBE, OQMD).
Lines closer than 0.1° are merged.

Structural model:
a = 5.653 Å, b = 6.092 Å, c = 9.839 Å
α = 90.00°, β = 123.85°, γ = 90.00°
Fractional positions:
Nd1 0.220 0.076 0.249
Nd2 0.220 0.424 0.749
Nd3 0.780 0.576 0.251
Nd4 0.780 0.924 0.751
Ir1 0.000 0.000 0.500
Ir2 0.000 0.500 0.000
Pb1 0.500 0.000 0.000
Pb2 0.500 0.500 0.500
O1 0.072 0.214 0.921
O2 0.072 0.286 0.421
O3 0.231 0.672 0.934
O4 0.231 0.828 0.434
O5 0.369 0.065 0.720
O6 0.369 0.435 0.220
O7 0.631 0.565 0.780
O8 0.631 0.935 0.280
O9 0.769 0.172 0.566
O10 0.769 0.328 0.066
O11 0.928 0.714 0.579
O12 0.928 0.786 0.079

Principal peaks in the range 10° ≤ 2θ ≤ 90°, low angle first:
Position (°2θ)  I (rel.)
21.44  14
29.32  41
30.49  100
30.98  98
31.66  45
43.69  32
44.34  23
54.05  18
55.35  22
56.26  20

***

No. 9
La2Pd5Au5: computed PXRD pattern (a wavelength of 1.5418 Å), based on a DFT-relaxed cell (PBE, OQMD).
Lines closer than 0.1° are merged.

Structural model:
a = 4.614 Å, b = 5.489 Å, c = 9.508 Å
α = 90.00°, β = 90.00°, γ = 90.00°
Fractional positions:
La1 0.000 0.000 0.000
La2 0.000 0.500 0.500
Pd1 0.000 0.000 0.335
Pd2 0.000 0.000 0.665
Pd3 0.000 0.500 0.163
Pd4 0.000 0.500 0.837
Pd5 0.500 0.500 0.000
Au1 0.500 0.000 0.500
Au2 0.500 0.250 0.247
Au3 0.500 0.250 0.753
Au4 0.500 0.750 0.247
Au5 0.500 0.750 0.753

Principal peaks in the range 10° ≤ 2θ ≤ 90°, low angle first:
Position (°2θ)  I (rel.)
18.66  26
26.93  40
37.85  59
38.15  100
39.04  44
42.79  68
55.51  40
61.91  24
68.35  25
81.63  32

***

No. 10
K2RbCu3As2: computed PXRD pattern (a wavelength of 1.5418 Å), based on a DFT-relaxed cell (PBE, OQMD).
Lines closer than 0.1° are merged.

Structural model:
a = 7.665 Å, b = 7.665 Å, c = 7.665 Å
α = 44.65°, β = 44.65°, γ = 44.65°
Fractional positions:
K1 0.089 0.089 0.089
K2 0.911 0.911 0.911
Rb1 0.500 0.500 0.500
Cu1 0.000 0.500 0.500
Cu2 0.500 0.000 0.500
Cu3 0.500 0.500 0.000
As1 0.253 0.253 0.253
As2 0.747 0.747 0.747

Principal peaks in the range 10° ≤ 2θ ≤ 90°, low angle first:
Position (°2θ)  I (rel.)
12.85  48
18.11  35
19.59  39
27.91  100
30.71  81
33.41  49
39.78  98
40.57  54
50.60  70
63.96  39

***

No. 11
GdHoFe2B2N2: computed PXRD pattern (a wavelength of 1.5418 Å), based on a DFT-relaxed cell (PBE, OQMD).
Lines closer than 0.1° are merged.

Structural model:
a = 3.455 Å, b = 3.455 Å, c = 7.718 Å
α = 90.00°, β = 90.00°, γ = 90.00°
Fractional positions:
Gd1 0.000 0.000 0.000
Ho1 0.500 0.500 0.669
Fe1 0.000 0.500 0.334
Fe2 0.500 0.000 0.334
B1 0.000 0.000 0.498
B2 0.500 0.500 0.168
N1 0.000 0.000 0.691
N2 0.500 0.500 0.975

Principal peaks in the range 10° ≤ 2θ ≤ 90°, low angle first:
Position (°2θ)  I (rel.)
28.30  81
34.86  100
36.78  21
38.65  52
43.86  36
53.00  28
54.47  18
61.18  35
65.02  46
88.62  16